Diffraction record for BaMn2O4. The X-ray diffraction stick pattern is computed, not measured: it uses a structure optimized by DFT (PBE+U) and CuKα.
Kinematic intensities with the Lorentz-polarization factor, no thermal factor.

Main lines, in order of falling intensity (2θ = 10–80°):
- 2θ = 26.71°, I = 100.0
- 2θ = 23.62°, I = 83.2
- 2θ = 39.84°, I = 57.4
- 2θ = 28.78°, I = 57.0
- 2θ = 31.66°, I = 49.0
- 2θ = 39.49°, I = 45.7
- 2θ = 31.19°, I = 35.3
- 2θ = 50.09°, I = 30.7
- 2θ = 48.32°, I = 28.0
- 2θ = 43.12°, I = 26.7

Structure:
Unit cell a=7.127 b=5.965 c=7.784 alpha=60.75 beta=46.91 gamma=72.34
Fractional coordinates of all 14 atoms:
Ba1 0.000 0.000 0.000
Ba2 0.250 0.250 0.250
Mn1 0.036 0.635 0.673
Mn2 0.577 0.593 0.214
Mn3 0.593 0.577 0.615
Mn4 0.635 0.036 0.657
O1 0.243 0.397 0.512
O2 0.397 0.243 0.847
O3 0.403 0.738 0.853
O4 0.407 0.792 0.424
O5 0.738 0.403 0.007
O6 0.792 0.407 0.378
O7 0.826 0.872 0.843
O8 0.872 0.826 0.458